No. 1
# Nd5Dy6Y2
Calculated XRD peak list, Cu Kα X-rays. Input: the PBE geometry in Alexandria.

Structure:
a = 11.7326 Å, b = 20.6014 Å, c = 3.6083 Å
α = 90.00°, β = 90.00°, γ = 90.00°
Space group Pbam (No. 55)
One atom of each set of equivalent atoms:
Nd1 0.0000 0.0000 0.0000 (multiplicity 2)
Nd2 0.0887 0.2744 0.0000 (multiplicity 4)
Nd3 0.1991 0.5509 0.0000 (multiplicity 4)
Dy1 0.0607 0.4195 0.5000 (multiplicity 4)
Dy2 0.0805 0.1326 0.5000 (multiplicity 4)
Dy3 0.1751 0.8642 0.0000 (multiplicity 4)
Y1 0.1687 0.7119 0.5000 (multiplicity 4)

Principal peaks in the range 2θ from 10° to 90°, most intense first:
d/Å  2θ (°)  Rel. int.
2.805  31.90  100
2.855  31.34  69
2.904  30.79  61
2.866  31.21  49
2.639  33.97  39
2.474  36.31  31
2.580  34.77  25
1.804  50.59  24
3.077  29.02  21
1.525  60.73  21


No. 2
# Cs4PrDy3Se8
Calculated XRD peak list, Cu Kα X-rays. Input: the PBE geometry in Alexandria.

Structure:
a = 8.6204 Å, b = 8.6204 Å, c = 25.1621 Å
α = 90.00°, β = 90.00°, γ = 120.00°
Space group R-3m (No. 166, hexagonal axes)
One atom of each set of equivalent atoms:
Cs1 0.0000 0.0000 0.0000 (multiplicity 3)
Cs2 0.0000 0.5000 0.0000 (multiplicity 9)
Pr1 0.0000 0.0000 0.5000 (multiplicity 3)
Dy1 0.0000 0.5000 0.5000 (multiplicity 9)
Se1 0.0000 0.0000 0.2281 (multiplicity 6)
Se2 0.0087 0.5043 0.7708 (multiplicity 18)

Principal peaks in the range 2θ from 10° to 90°, most intense first:
d/Å  2θ (°)  Rel. int.
3.210  27.79  100
2.155  41.92  36
2.405  37.39  33
1.789  51.04  18
1.377  68.11  16
8.387  10.55  13
2.087  43.36  13
3.579  24.88  13
4.194  21.19  11
1.605  57.41  10


What did the second record say?
# Cs4PrDy3Se8
Calculated XRD peak list, Cu Kα X-rays. Input: the PBE geometry in Alexandria.

Structure:
a = 8.6204 Å, b = 8.6204 Å, c = 25.1621 Å
α = 90.00°, β = 90.00°, γ = 120.00°
Space group R-3m (No. 166, hexagonal axes)
One atom of each set of equivalent atoms:
Cs1 0.0000 0.0000 0.0000 (multiplicity 3)
Cs2 0.0000 0.5000 0.0000 (multiplicity 9)
Pr1 0.0000 0.0000 0.5000 (multiplicity 3)
Dy1 0.0000 0.5000 0.5000 (multiplicity 9)
Se1 0.0000 0.0000 0.2281 (multiplicity 6)
Se2 0.0087 0.5043 0.7708 (multiplicity 18)

Principal peaks in the range 2θ from 10° to 90°, most intense first:
d/Å  2θ (°)  Rel. int.
3.210  27.79  100
2.155  41.92  36
2.405  37.39  33
1.789  51.04  18
1.377  68.11  16
8.387  10.55  13
2.087  43.36  13
3.579  24.88  13
4.194  21.19  11
1.605  57.41  10